Record 1
TeI6O8: simulated X-ray diffraction stick pattern (λ = 1.5418 Å (Cu Kα)), based on a structure optimized by DFT (PBE).

Structure:
```
data_TeI6O8
_cell_length_a 7.734
_cell_length_b 14.099
_cell_length_c 10.349
_cell_angle_alpha 90.00
_cell_angle_beta 125.99
_cell_angle_gamma 90.00
_symmetry_space_group_name_H-M 'P 1 21/c 1'
_symmetry_Int_Tables_number 14
_symmetry_space_group_name_Hall '-P 2ybc'
loop_
_atom_site_label
_atom_site_type_symbol
_atom_site_fract_x
_atom_site_fract_y
_atom_site_fract_z
Te1 Te 0.000 0.000 0.000
I1 I 0.172 0.081 0.311
I2 I 0.285 0.126 0.969
I3 I 0.413 0.639 0.687
O1 O 0.205 0.626 0.052
O2 O 0.248 0.627 0.949
O3 O 0.324 0.572 0.177
O4 O 0.470 0.693 0.541
```

Main lines, sorted by position (2θ = 10–90°):
- 2θ = 12.29°, d = 7.200 Å, intensity 92
- 2θ = 13.25°, d = 6.681 Å, intensity 49
- 2θ = 22.15°, d = 4.014 Å, intensity 48
- 2θ = 25.27°, d = 3.525 Å, intensity 51
- 2θ = 25.56°, d = 3.485 Å, intensity 80
- 2θ = 29.15°, d = 3.063 Å, intensity 100
- 2θ = 30.28°, d = 2.952 Å, intensity 46
- 2θ = 34.74°, d = 2.582 Å, intensity 50


Record 2
Sr2CuCO5: simulated X-ray diffraction stick pattern (λ = 1.5418 Å (Cu Kα)), based on a structure optimized by DFT (PBE).

Structure:
```
data_Sr2CuCO5
_cell_length_a 3.705
_cell_length_b 7.583
_cell_length_c 4.351
_cell_angle_alpha 90.00
_cell_angle_beta 90.00
_cell_angle_gamma 90.00
_symmetry_space_group_name_H-M 'P m m 2'
_symmetry_Int_Tables_number 25
_symmetry_space_group_name_Hall 'P 2 -2'
loop_
_atom_site_label
_atom_site_type_symbol
_atom_site_fract_x
_atom_site_fract_y
_atom_site_fract_z
Sr1 Sr 0.000 0.226 0.000
Cu1 Cu 0.500 0.000 0.505
C1 C 0.500 0.500 0.519
O1 O 0.000 0.000 0.503
O2 O 0.500 0.000 0.997
O3 O 0.500 0.350 0.376
O4 O 0.500 0.500 0.817
```

Main lines, sorted by position (2θ = 10–90°):
- 2θ = 11.67°, d = 7.583 Å, intensity 56
- 2θ = 31.29°, d = 2.858 Å, intensity 100
- 2θ = 31.72°, d = 2.821 Å, intensity 99
- 2θ = 33.83°, d = 2.650 Å, intensity 100
- 2θ = 39.83°, d = 2.263 Å, intensity 35
- 2θ = 41.51°, d = 2.175 Å, intensity 32
- 2θ = 54.58°, d = 1.681 Å, intensity 40
- 2θ = 59.45°, d = 1.555 Å, intensity 30


Record 3
Sn3Se: simulated X-ray diffraction stick pattern (λ = 1.5418 Å (Cu Kα)), based on a structure optimized by DFT (PBE).

Structure:
```
data_Sn3Se
_cell_length_a 4.742
_cell_length_b 4.742
_cell_length_c 4.742
_cell_angle_alpha 90.00
_cell_angle_beta 90.00
_cell_angle_gamma 90.00
_symmetry_space_group_name_H-M 'P m -3 m'
_symmetry_Int_Tables_number 221
_symmetry_space_group_name_Hall '-P 4 2 3'
loop_
_atom_site_label
_atom_site_type_symbol
_atom_site_fract_x
_atom_site_fract_y
_atom_site_fract_z
Sn1 Sn 0.000 0.000 0.500
Se1 Se 0.500 0.500 0.500
```

Main lines, sorted by position (2θ = 10–90°):
- 2θ = 18.71°, d = 4.742 Å, intensity 2
- 2θ = 26.58°, d = 3.353 Å, intensity 2
- 2θ = 32.71°, d = 2.738 Å, intensity 100
- 2θ = 37.95°, d = 2.371 Å, intensity 50
- 2θ = 54.75°, d = 1.677 Å, intensity 36
- 2θ = 65.26°, d = 1.430 Å, intensity 43
- 2θ = 68.55°, d = 1.369 Å, intensity 12
- 2θ = 81.13°, d = 1.185 Å, intensity 6


Record 4
HfCrS4: simulated X-ray diffraction stick pattern (λ = 1.5418 Å (Cu Kα)), based on a structure optimized by DFT (PBE).

Structure:
```
data_HfCrS4
_cell_length_a 12.101
_cell_length_b 7.224
_cell_length_c 6.960
_cell_angle_alpha 90.00
_cell_angle_beta 124.94
_cell_angle_gamma 90.00
_symmetry_space_group_name_H-M 'C 1 2/m 1'
_symmetry_Int_Tables_number 12
_symmetry_space_group_name_Hall '-C 2y'
loop_
_atom_site_label
_atom_site_type_symbol
_atom_site_fract_x
_atom_site_fract_y
_atom_site_fract_z
Hf1 Hf 0.250 0.250 0.000
Cr1 Cr 0.000 0.000 0.000
Cr2 Cr 0.000 0.000 0.500
S1 S 0.004 0.225 0.255
S2 S 0.244 0.000 0.249
S3 S 0.244 0.000 0.738
```

Main lines, sorted by position (2θ = 10–90°):
- 2θ = 15.55°, d = 5.698 Å, intensity 100
- 2θ = 29.27°, d = 3.051 Å, intensity 47
- 2θ = 29.91°, d = 2.987 Å, intensity 26
- 2θ = 35.83°, d = 2.506 Å, intensity 57
- 2θ = 36.22°, d = 2.480 Å, intensity 28
- 2θ = 39.14°, d = 2.302 Å, intensity 24
- 2θ = 51.81°, d = 1.765 Å, intensity 19
- 2θ = 51.93°, d = 1.761 Å, intensity 19


Record 5
Mg5Pt: simulated X-ray diffraction stick pattern (λ = 1.5418 Å (Cu Kα)), based on a structure optimized by DFT (PBE).

Structure:
```
data_Mg5Pt
_cell_length_a 10.530
_cell_length_b 3.332
_cell_length_c 7.369
_cell_angle_alpha 90.00
_cell_angle_beta 110.47
_cell_angle_gamma 90.00
_symmetry_space_group_name_H-M 'C 1 2/m 1'
_symmetry_Int_Tables_number 12
_symmetry_space_group_name_Hall '-C 2y'
loop_
_atom_site_label
_atom_site_type_symbol
_atom_site_fract_x
_atom_site_fract_y
_atom_site_fract_z
Mg1 Mg 0.000 0.000 0.000
Mg2 Mg 0.145 0.500 0.355
Mg3 Mg 0.161 0.500 0.797
Pt1 Pt 0.000 0.000 0.500
```

Main lines, sorted by position (2θ = 10–90°):
- 2θ = 12.82°, d = 6.904 Å, intensity 100
- 2θ = 18.03°, d = 4.920 Å, intensity 87
- 2θ = 25.81°, d = 3.452 Å, intensity 32
- 2θ = 28.27°, d = 3.157 Å, intensity 24
- 2θ = 36.36°, d = 2.471 Å, intensity 54
- 2θ = 36.63°, d = 2.453 Å, intensity 47
- 2θ = 38.46°, d = 2.340 Å, intensity 43
- 2θ = 40.84°, d = 2.210 Å, intensity 25


Record 6
CrFeN2: simulated X-ray diffraction stick pattern (λ = 1.5418 Å (Cu Kα)), based on a structure optimized by DFT (PBE).

Structure:
```
data_CrFeN2
_cell_length_a 2.7499
_cell_length_b 2.7499
_cell_length_c 10.0733
_cell_angle_alpha 90.00
_cell_angle_beta 90.00
_cell_angle_gamma 120.00
_symmetry_space_group_name_H-M 'P 63/m m c'
_symmetry_Int_Tables_number 194
_symmetry_space_group_name_Hall '-P 6c 2c'
loop_
_atom_site_label
_atom_site_type_symbol
_atom_site_fract_x
_atom_site_fract_y
_atom_site_fract_z
Cr1 Cr 0.3333 0.6667 0.2500
Fe1 Fe 0.0000 0.0000 0.0000
N1 N 0.3333 0.6667 0.6278
```

Main lines, sorted by position (2θ = 10–90°):
- 2θ = 35.65°, d = 2.518 Å, intensity 27
- 2θ = 38.86°, d = 2.318 Å, intensity 15
- 2θ = 41.96°, d = 2.153 Å, intensity 100
- 2θ = 46.76°, d = 1.943 Å, intensity 35
- 2θ = 60.16°, d = 1.538 Å, intensity 15
- 2θ = 68.21°, d = 1.375 Å, intensity 24
- 2θ = 68.36°, d = 1.372 Å, intensity 20
- 2θ = 79.41°, d = 1.207 Å, intensity 15


Record 7
CaAl2Sn2: simulated X-ray diffraction stick pattern (λ = 1.5418 Å (Cu Kα)), based on a structure optimized by DFT (PBE).

Structure:
```
data_CaAl2Sn2
_cell_length_a 4.5370
_cell_length_b 4.5370
_cell_length_c 7.5486
_cell_angle_alpha 90.00
_cell_angle_beta 90.00
_cell_angle_gamma 120.00
_symmetry_space_group_name_H-M 'P -3 m 1'
_symmetry_Int_Tables_number 164
_symmetry_space_group_name_Hall '-P 3 2"'
loop_
_atom_site_label
_atom_site_type_symbol
_atom_site_fract_x
_atom_site_fract_y
_atom_site_fract_z
Ca1 Ca 0.0000 0.0000 0.0000
Al1 Al 0.3333 0.6667 0.6295
Sn1 Sn 0.3333 0.6667 0.2547
```

Main lines, sorted by position (2θ = 10–90°):
- 2θ = 22.63°, d = 3.929 Å, intensity 21
- 2θ = 23.57°, d = 3.774 Å, intensity 24
- 2θ = 25.56°, d = 3.485 Å, intensity 100
- 2θ = 32.91°, d = 2.722 Å, intensity 43
- 2θ = 39.73°, d = 2.268 Å, intensity 52
- 2θ = 42.67°, d = 2.119 Å, intensity 43
- 2θ = 46.72°, d = 1.944 Å, intensity 24
- 2θ = 47.84°, d = 1.901 Å, intensity 19


Record 8
Er2TlHg: simulated X-ray diffraction stick pattern (λ = 1.5418 Å (Cu Kα)), based on a structure optimized by DFT (PBE).

Structure:
```
data_Er2TlHg
_cell_length_a 7.463
_cell_length_b 7.463
_cell_length_c 7.463
_cell_angle_alpha 90.00
_cell_angle_beta 90.00
_cell_angle_gamma 90.00
_symmetry_space_group_name_H-M 'F m -3 m'
_symmetry_Int_Tables_number 225
_symmetry_space_group_name_Hall '-F 4 2 3'
loop_
_atom_site_label
_atom_site_type_symbol
_atom_site_fract_x
_atom_site_fract_y
_atom_site_fract_z
Er1 Er 0.250 0.250 0.250
Tl1 Tl 0.000 0.000 0.000
Hg1 Hg 0.000 0.000 0.500
```

Main lines, sorted by position (2θ = 10–90°):
- 2θ = 23.85°, d = 3.732 Å, intensity 1
- 2θ = 33.98°, d = 2.639 Å, intensity 100
- 2θ = 48.81°, d = 1.866 Å, intensity 18
- 2θ = 55.03°, d = 1.669 Å, intensity 1
- 2θ = 60.80°, d = 1.523 Å, intensity 38
- 2θ = 71.51°, d = 1.319 Å, intensity 12
- 2θ = 81.58°, d = 1.180 Å, intensity 17